No. 1
This entry pairs a crystal structure of VFe2S4 with its simulated PXRD pattern. Radiation: λ = 1.5418 Å (Cu Kα). Structure: a PBE-relaxed structure.
Lines closer than 0.1° are merged.

Principal peaks in the range 2θ from 10° to 80°, by intensity:
2θ (°)  intensity
47.8  100
35.8  94
46.3  92
18.1  78
56.2  63
32.0  51
37.7  49
36.6  47
57.5  43
48.7  43

Structural model:
```
data_VFe2S4
_chemical_formula_sum 'V2 Fe4 S8'
_cell_length_a 11.820
_cell_length_b 3.207
_cell_length_c 5.727
_cell_angle_alpha 90.00
_cell_angle_beta 115.28
_cell_angle_gamma 90.00
_space_group_name_H-M_alt 'P 1'
_space_group_IT_number 1
_space_group_name_Hall 'P 1'
loop_
_atom_site_label
_atom_site_type_symbol
_atom_site_fract_x
_atom_site_fract_y
_atom_site_fract_z
_atom_site_occupancy
V1 V 0.000 0.000 0.000 1
V2 V 0.500 0.500 0.000 1
Fe1 Fe 0.025 0.500 0.634 1
Fe2 Fe 0.258 0.000 0.314 1
Fe3 Fe 0.525 0.000 0.634 1
Fe4 Fe 0.758 0.500 0.314 1
S1 S 0.121 0.500 0.341 1
S2 S 0.154 0.000 0.868 1
S3 S 0.367 0.000 0.746 1
S4 S 0.399 0.500 0.304 1
S5 S 0.621 0.000 0.341 1
S6 S 0.654 0.500 0.868 1
S7 S 0.867 0.500 0.746 1
S8 S 0.899 0.000 0.304 1
```

No. 2
This entry pairs a crystal structure of CeSiRh with its simulated PXRD pattern. Radiation: λ = 1.5418 Å (Cu Kα). Structure: a PBE-relaxed structure.
Lines closer than 0.1° are merged.

Principal peaks in the range 2θ from 10° to 80°, by intensity:
2θ (°)  intensity
31.7  100
34.8  63
54.3  39
47.7  21
68.0  16
76.9  13
24.4  13
60.4  11
42.9  10
64.2  9

Structural model:
```
data_CeSiRh
_chemical_formula_sum 'Ce4 Si4 Rh4'
_cell_length_a 6.320
_cell_length_b 6.320
_cell_length_c 6.320
_cell_angle_alpha 90.00
_cell_angle_beta 90.00
_cell_angle_gamma 90.00
_space_group_name_H-M_alt 'P 1'
_space_group_IT_number 1
_space_group_name_Hall 'P 1'
loop_
_atom_site_label
_atom_site_type_symbol
_atom_site_fract_x
_atom_site_fract_y
_atom_site_fract_z
_atom_site_occupancy
Ce1 Ce 0.133 0.367 0.633 1
Ce2 Ce 0.367 0.633 0.133 1
Ce3 Ce 0.633 0.133 0.367 1
Ce4 Ce 0.867 0.867 0.867 1
Si1 Si 0.170 0.170 0.170 1
Si2 Si 0.330 0.830 0.670 1
Si3 Si 0.670 0.330 0.830 1
Si4 Si 0.830 0.670 0.330 1
Rh1 Rh 0.070 0.930 0.430 1
Rh2 Rh 0.430 0.070 0.930 1
Rh3 Rh 0.570 0.570 0.570 1
Rh4 Rh 0.930 0.430 0.070 1
```

No. 3
This entry pairs a crystal structure of Si6Ni3Au with its simulated PXRD pattern. Radiation: λ = 1.5418 Å (Cu Kα). Structure: a PBE-relaxed structure.
Lines closer than 0.1° are merged.

Principal peaks in the range 2θ from 10° to 80°, by intensity:
2θ (°)  intensity
27.7  100
46.5  77
48.1  73
27.3  51
29.2  34
31.5  27
58.6  27
38.1  24
69.1  23
32.9  20

Structural model:
```
data_Si6Ni3Au
_chemical_formula_sum 'Si6 Ni3 Au1'
_cell_length_a 11.573
_cell_length_b 11.573
_cell_length_c 11.573
_cell_angle_alpha 18.83
_cell_angle_beta 18.83
_cell_angle_gamma 18.83
_space_group_name_H-M_alt 'P 1'
_space_group_IT_number 1
_space_group_name_Hall 'P 1'
loop_
_atom_site_label
_atom_site_type_symbol
_atom_site_fract_x
_atom_site_fract_y
_atom_site_fract_z
_atom_site_occupancy
Si1 Si 0.070 0.070 0.070 1
Si2 Si 0.214 0.214 0.214 1
Si3 Si 0.358 0.358 0.358 1
Si4 Si 0.642 0.642 0.642 1
Si5 Si 0.786 0.786 0.786 1
Si6 Si 0.930 0.930 0.930 1
Ni1 Ni 0.000 0.000 0.000 1
Ni2 Ni 0.425 0.425 0.425 1
Ni3 Ni 0.575 0.575 0.575 1
Au1 Au 0.500 0.500 0.500 1
```

No. 4
This entry pairs a crystal structure of UMo with its simulated PXRD pattern. Radiation: λ = 1.5418 Å (Cu Kα). Structure: a PBE-relaxed structure.
Lines closer than 0.1° are merged.

Principal peaks in the range 2θ from 10° to 80°, by intensity:
2θ (°)  intensity
35.6  100
34.8  62
40.1  43
24.8  35
34.7  27
36.0  27
40.3  25
54.3  22
50.9  20
63.0  20

Structural model:
```
data_UMo
_chemical_formula_sum 'U4 Mo4'
_cell_length_a 5.151
_cell_length_b 3.020
_cell_length_c 9.988
_cell_angle_alpha 90.00
_cell_angle_beta 90.05
_cell_angle_gamma 90.00
_space_group_name_H-M_alt 'P 1'
_space_group_IT_number 1
_space_group_name_Hall 'P 1'
loop_
_atom_site_label
_atom_site_type_symbol
_atom_site_fract_x
_atom_site_fract_y
_atom_site_fract_z
_atom_site_occupancy
U1 U 0.250 0.077 0.158 1
U2 U 0.250 0.423 0.658 1
U3 U 0.750 0.577 0.342 1
U4 U 0.750 0.923 0.842 1
Mo1 Mo 0.250 0.604 0.903 1
Mo2 Mo 0.250 0.896 0.403 1
Mo3 Mo 0.750 0.104 0.597 1
Mo4 Mo 0.750 0.396 0.097 1
```

No. 5
This entry pairs a crystal structure of CaSn4O8 with its simulated PXRD pattern. Radiation: λ = 1.5418 Å (Cu Kα). Structure: a PBE-relaxed structure.
Lines closer than 0.1° are merged.

Principal peaks in the range 2θ from 10° to 80°, by intensity:
2θ (°)  intensity
15.4  100
37.6  57
31.6  41
32.9  32
57.9  19
48.7  19
53.1  18
55.4  18
40.9  16
64.9  15

Structural model:
```
data_CaSn4O8
_chemical_formula_sum 'Ca1 Sn4 O8'
_cell_length_a 6.905
_cell_length_b 6.905
_cell_length_c 6.905
_cell_angle_alpha 57.41
_cell_angle_beta 57.41
_cell_angle_gamma 57.41
_space_group_name_H-M_alt 'P 1'
_space_group_IT_number 1
_space_group_name_Hall 'P 1'
loop_
_atom_site_label
_atom_site_type_symbol
_atom_site_fract_x
_atom_site_fract_y
_atom_site_fract_z
_atom_site_occupancy
Ca1 Ca 0.000 0.000 0.000 1
Sn1 Sn 0.000 0.000 0.500 1
Sn2 Sn 0.000 0.500 0.000 1
Sn3 Sn 0.500 0.000 0.000 1
Sn4 Sn 0.500 0.500 0.500 1
O1 O 0.192 0.752 0.752 1
O2 O 0.228 0.228 0.228 1
O3 O 0.248 0.248 0.808 1
O4 O 0.248 0.808 0.248 1
O5 O 0.752 0.192 0.752 1
O6 O 0.752 0.752 0.192 1
O7 O 0.772 0.772 0.772 1
O8 O 0.808 0.248 0.248 1
```

No. 6
This entry pairs a crystal structure of BaTmO3 with its simulated PXRD pattern. Radiation: λ = 1.5418 Å (Cu Kα). Structure: a PBE-relaxed structure.
Lines closer than 0.1° are merged.

Principal peaks in the range 2θ from 10° to 80°, by intensity:
2θ (°)  intensity
28.9  100
51.2  42
41.3  29
59.8  19
67.7  18
75.3  6
20.3  4
46.4  2
63.8  1

Structural model:
```
data_BaTmO3
_chemical_formula_sum 'Ba1 Tm1 O3'
_cell_length_a 4.374
_cell_length_b 4.374
_cell_length_c 4.374
_cell_angle_alpha 90.00
_cell_angle_beta 90.00
_cell_angle_gamma 90.00
_space_group_name_H-M_alt 'P 1'
_space_group_IT_number 1
_space_group_name_Hall 'P 1'
loop_
_atom_site_label
_atom_site_type_symbol
_atom_site_fract_x
_atom_site_fract_y
_atom_site_fract_z
_atom_site_occupancy
Ba1 Ba 0.000 0.000 0.000 1
Tm1 Tm 0.500 0.500 0.500 1
O1 O 0.000 0.500 0.500 1
O2 O 0.500 0.000 0.500 1
O3 O 0.500 0.500 0.000 1
```

No. 7
This entry pairs a crystal structure of KErP2O9 with its simulated PXRD pattern. Radiation: λ = 1.5418 Å (Cu Kα). Structure: a PBE-relaxed structure.
Lines closer than 0.1° are merged.

Principal peaks in the range 2θ from 10° to 80°, by intensity:
2θ (°)  intensity
12.1  100
14.2  90
27.7  53
16.9  52
29.9  46
27.9  40
17.5  37
30.7  36
22.3  29
26.8  29

Structural model:
```
data_KErP2O9
_chemical_formula_sum 'K4 Er4 P8 O36'
_cell_length_a 7.690
_cell_length_b 10.561
_cell_length_c 10.137
_cell_angle_alpha 90.00
_cell_angle_beta 91.16
_cell_angle_gamma 90.00
_space_group_name_H-M_alt 'P 1'
_space_group_IT_number 1
_space_group_name_Hall 'P 1'
loop_
_atom_site_label
_atom_site_type_symbol
_atom_site_fract_x
_atom_site_fract_y
_atom_site_fract_z
_atom_site_occupancy
K1 K 0.240 0.221 0.354 1
K2 K 0.240 0.279 0.854 1
K3 K 0.760 0.721 0.146 1
K4 K 0.760 0.779 0.646 1
Er1 Er 0.249 0.622 0.167 1
Er2 Er 0.249 0.878 0.667 1
Er3 Er 0.751 0.122 0.333 1
Er4 Er 0.751 0.378 0.833 1
P1 P 0.104 0.607 0.834 1
P2 P 0.104 0.893 0.334 1
P3 P 0.467 0.647 0.867 1
P4 P 0.467 0.853 0.367 1
P5 P 0.533 0.147 0.633 1
P6 P 0.533 0.353 0.133 1
P7 P 0.896 0.107 0.666 1
P8 P 0.896 0.393 0.166 1
O1 O 0.005 0.508 0.210 1
O2 O 0.005 0.992 0.710 1
O3 O 0.079 0.639 0.979 1
O4 O 0.079 0.861 0.479 1
O5 O 0.082 0.718 0.740 1
O6 O 0.082 0.782 0.240 1
O7 O 0.085 0.069 0.043 1
O8 O 0.085 0.431 0.543 1
O9 O 0.203 0.522 0.394 1
O10 O 0.203 0.978 0.894 1
O11 O 0.304 0.555 0.821 1
O12 O 0.304 0.945 0.321 1
O13 O 0.369 0.072 0.666 1
O14 O 0.369 0.428 0.166 1
O15 O 0.450 0.668 0.016 1
O16 O 0.450 0.731 0.287 1
O17 O 0.450 0.769 0.787 1
O18 O 0.450 0.832 0.516 1
O19 O 0.550 0.168 0.484 1
O20 O 0.550 0.231 0.213 1
O21 O 0.550 0.269 0.713 1
O22 O 0.550 0.332 0.984 1
O23 O 0.631 0.572 0.834 1
O24 O 0.631 0.928 0.334 1
O25 O 0.696 0.055 0.679 1
O26 O 0.696 0.445 0.179 1
O27 O 0.797 0.022 0.106 1
O28 O 0.797 0.478 0.606 1
O29 O 0.915 0.569 0.457 1
O30 O 0.915 0.931 0.957 1
O31 O 0.918 0.218 0.760 1
O32 O 0.918 0.282 0.260 1
O33 O 0.921 0.139 0.521 1
O34 O 0.921 0.361 0.021 1
O35 O 0.995 0.008 0.290 1
O36 O 0.995 0.492 0.790 1
```

No. 8
This entry pairs a crystal structure of Li4NbTe3O12 with its simulated PXRD pattern. Radiation: λ = 1.5418 Å (Cu Kα). Structure: a PBE-relaxed structure.
Lines closer than 0.1° are merged.

Principal peaks in the range 2θ from 10° to 80°, by intensity:
2θ (°)  intensity
20.2  100
19.3  41
31.5  36
31.6  36
34.5  20
39.3  16
50.4  15
50.2  14
39.5  13
33.5  12

Structural model:
```
data_Li4NbTe3O12
_chemical_formula_sum 'Li4 Nb1 Te3 O12'
_cell_length_a 5.052
_cell_length_b 8.935
_cell_length_c 5.355
_cell_angle_alpha 90.00
_cell_angle_beta 90.44
_cell_angle_gamma 90.00
_space_group_name_H-M_alt 'P 1'
_space_group_IT_number 1
_space_group_name_Hall 'P 1'
loop_
_atom_site_label
_atom_site_type_symbol
_atom_site_fract_x
_atom_site_fract_y
_atom_site_fract_z
_atom_site_occupancy
Li1 Li 0.000 0.000 0.000 1
Li2 Li 0.000 0.368 0.500 1
Li3 Li 0.500 0.510 0.500 1
Li4 Li 0.500 0.892 0.000 1
Nb1 Nb 0.500 0.097 0.500 1
Te1 Te 0.000 0.596 0.000 1
Te2 Te 0.000 0.792 0.500 1
Te3 Te 0.500 0.282 0.000 1
O1 O 0.199 0.783 0.815 1
O2 O 0.214 0.631 0.347 1
O3 O 0.237 0.941 0.353 1
O4 O 0.265 0.435 0.829 1
O5 O 0.290 0.262 0.329 1
O6 O 0.303 0.100 0.825 1
O7 O 0.697 0.100 0.175 1
O8 O 0.710 0.262 0.671 1
O9 O 0.735 0.435 0.171 1
O10 O 0.763 0.941 0.647 1
O11 O 0.786 0.631 0.653 1
O12 O 0.801 0.783 0.185 1
```